No. 1
Structure and theoretical XRD peak list of AsPt15 (DFT lattice parameters and positions (GGA-PBE); CuKα).

Peak list (10 most intense, 2θ from 10° to 90°, by angle)
- 39.2°, rel. 100, hkl 0 1 10
- 39.8°, rel. 98, hkl 2 1 0
- 39.9°, rel. 14, hkl 2 1 -1
- 45.7°, rel. 33, hkl 2 0 -10
- 46.0°, rel. 32, hkl 2 0 10
- 46.1°, rel. 33, hkl 0 2 0
- 66.9°, rel. 21, hkl 2 2 -10
- 67.2°, rel. 20, hkl 2 2 10
- 80.9°, rel. 14, hkl 4 1 -10
- 81.1°, rel. 15, hkl 2 3 0

Atomic structure:
```
data_AsPt15
_chemical_formula_sum 'As2 Pt30'
_symmetry_space_group_name_H-M 'P 1 21/m 1'
_symmetry_Int_Tables_number 11
_symmetry_space_group_name_Hall '-P 2yb'
_cell_length_a 5.538
_cell_length_b 3.936
_cell_length_c 28.337
_cell_angle_alpha 90.00
_cell_angle_beta 90.35
_cell_angle_gamma 90.00
loop_
_atom_site_label
_atom_site_type_symbol
_atom_site_fract_x
_atom_site_fract_y
_atom_site_fract_z
As1 As 0.127 0.250 0.368
Pt1 Pt 0.117 0.250 0.774
Pt2 Pt 0.120 0.250 0.665
Pt3 Pt 0.122 0.250 0.874
Pt4 Pt 0.124 0.250 0.974
Pt5 Pt 0.126 0.250 0.074
Pt6 Pt 0.126 0.250 0.277
Pt7 Pt 0.129 0.250 0.175
Pt8 Pt 0.369 0.750 0.825
Pt9 Pt 0.370 0.750 0.726
Pt10 Pt 0.375 0.750 0.326
Pt11 Pt 0.375 0.750 0.924
Pt12 Pt 0.376 0.750 0.024
Pt13 Pt 0.377 0.750 0.124
Pt14 Pt 0.378 0.750 0.224
Pt15 Pt 0.399 0.750 0.628
```


No. 2
Structure and theoretical XRD peak list of CdP4I3 (DFT lattice parameters and positions (GGA-PBE); CuKα).

Peak list (10 most intense, 2θ from 10° to 90°, by angle)
- 13.7°, rel. 36, hkl 0 1 1
- 20.0°, rel. 30, hkl 1 0 1
- 24.6°, rel. 100, hkl 1 2 1
- 27.7°, rel. 52, hkl 0 2 2
- 28.5°, rel. 27, hkl 0 4 0
- 32.7°, rel. 28, hkl 2 0 0
- 36.1°, rel. 38, hkl 1 3 2
- 39.5°, rel. 32, hkl 1 0 3
- 43.3°, rel. 31, hkl 2 2 2
- 50.8°, rel. 29, hkl 2 5 1

Atomic structure:
```
data_CdP4I3
_chemical_formula_sum 'Cd2 P8 I6'
_symmetry_space_group_name_H-M 'I m m 2'
_symmetry_Int_Tables_number 44
_symmetry_space_group_name_Hall 'I 2 -2'
_cell_length_a 5.485
_cell_length_b 12.527
_cell_length_c 7.519
_cell_angle_alpha 90.00
_cell_angle_beta 90.00
_cell_angle_gamma 90.00
loop_
_atom_site_label
_atom_site_type_symbol
_atom_site_fract_x
_atom_site_fract_y
_atom_site_fract_z
Cd1 Cd 0.000 0.000 0.000
P1 P 0.000 0.385 0.027
P2 P 0.244 0.000 0.646
I1 I 0.000 0.215 0.250
I2 I 0.000 0.500 0.628
```


No. 3
Structure and theoretical XRD peak list of GdTePO (DFT lattice parameters and positions (GGA-PBE); CuKα).

Peak list (10 most intense, 2θ from 10° to 90°, by angle)
- 19.1°, rel. 18, hkl 0 1 1
- 20.7°, rel. 46, hkl 1 1 0
- 24.3°, rel. 18, hkl 0 2 0
- 25.5°, rel. 100, hkl 1 1 1
- 28.5°, rel. 29, hkl 0 2 1
- 29.7°, rel. 23, hkl 0 0 2
- 33.8°, rel. 29, hkl 2 0 0
- 40.7°, rel. 28, hkl 1 3 0
- 44.8°, rel. 17, hkl 2 2 1
- 51.2°, rel. 23, hkl 1 3 2

Atomic structure:
```
data_GdTePO
_chemical_formula_sum 'Gd2 Te2 P2 O2'
_symmetry_space_group_name_H-M 'P m c 21'
_symmetry_Int_Tables_number 26
_symmetry_space_group_name_Hall 'P 2c -2'
_cell_length_a 5.299
_cell_length_b 7.331
_cell_length_c 6.008
_cell_angle_alpha 90.00
_cell_angle_beta 90.00
_cell_angle_gamma 90.00
loop_
_atom_site_label
_atom_site_type_symbol
_atom_site_fract_x
_atom_site_fract_y
_atom_site_fract_z
Gd1 Gd 0.000 0.178 0.000
Te1 Te 0.500 0.325 0.593
P1 P 0.500 0.334 0.015
O1 O 0.000 0.051 0.303
```


No. 4
Structure and theoretical XRD peak list of B4Os (DFT lattice parameters and positions (GGA-PBE); CuKα).

Peak list (10 most intense, 2θ from 10° to 90°, by angle)
- 28.5°, rel. 100, hkl 1 0 1
- 33.0°, rel. 41, hkl 1 1 0
- 33.1°, rel. 20, hkl 0 0 2
- 47.4°, rel. 44, hkl 2 0 0
- 56.2°, rel. 39, hkl 2 1 1
- 56.4°, rel. 19, hkl 1 0 3
- 59.0°, rel. 16, hkl 2 0 2
- 76.6°, rel. 13, hkl 2 1 3
- 78.9°, rel. 13, hkl 3 1 0
- 88.2°, rel. 11, hkl 3 1 2

Atomic structure:
```
data_B4Os
_chemical_formula_sum 'B8 Os2'
_symmetry_space_group_name_H-M 'P 42/n m c'
_symmetry_Int_Tables_number 137
_cell_length_a 3.838
_cell_length_b 3.838
_cell_length_c 5.410
_cell_angle_alpha 90.00
_cell_angle_beta 90.00
_cell_angle_gamma 90.00
loop_
_symmetry_equiv_pos_as_xyz
'x,y,z'
'-x,-y,-z'
'-y+1/2,x,z+1/2'
'y+1/2,-x,-z+1/2'
'-x+1/2,-y+1/2,z'
'x+1/2,y+1/2,-z'
'y,-x+1/2,z+1/2'
'-y,x+1/2,-z+1/2'
'x+1/2,-y,-z'
'-x+1/2,y,z'
'-y,-x,-z+1/2'
'y,x,z+1/2'
'-x,y+1/2,-z'
'x,-y+1/2,z'
'y+1/2,x+1/2,-z+1/2'
'-y+1/2,-x+1/2,z+1/2'
loop_
_atom_site_label
_atom_site_type_symbol
_atom_site_fract_x
_atom_site_fract_y
_atom_site_fract_z
B1 B 0.010 0.750 0.130
Os1 Os 0.250 0.750 0.750
```


No. 5
Structure and theoretical XRD peak list of ErZr2ScSb2 (DFT lattice parameters and positions (GGA-PBE); CuKα).

Peak list (10 most intense, 2θ from 10° to 90°, by angle)
- 21.8°, rel. 26, hkl 1 0 1
- 30.0°, rel. 27, hkl 1 1 0
- 32.0°, rel. 86, hkl 1 1 2
- 33.1°, rel. 36, hkl 0 0 6
- 34.9°, rel. 34, hkl 1 0 5
- 37.4°, rel. 100, hkl 1 1 4
- 42.9°, rel. 58, hkl 2 0 0
- 55.3°, rel. 33, hkl 2 0 6
- 62.3°, rel. 19, hkl 2 2 0
- 75.0°, rel. 25, hkl 3 1 4

Atomic structure:
```
data_ErZr2ScSb2
_chemical_formula_sum 'Er2 Zr4 Sc2 Sb4'
_symmetry_space_group_name_H-M 'I 4 m m'
_symmetry_Int_Tables_number 107
_symmetry_space_group_name_Hall 'I 4 -2'
_cell_length_a 4.215
_cell_length_b 4.215
_cell_length_c 16.226
_cell_angle_alpha 90.00
_cell_angle_beta 90.00
_cell_angle_gamma 90.00
loop_
_atom_site_label
_atom_site_type_symbol
_atom_site_fract_x
_atom_site_fract_y
_atom_site_fract_z
Er1 Er 0.000 0.000 0.000
Zr1 Zr 0.000 0.500 0.178
Sc1 Sc 0.000 0.000 0.351
Sb1 Sb 0.000 0.000 0.539
Sb2 Sb 0.000 0.000 0.814
```


No. 6
Structure and theoretical XRD peak list of MgNb2Sb3Ir3 (DFT lattice parameters and positions (GGA-PBE); CuKα).

Peak list (10 most intense, 2θ from 10° to 90°, by angle)
- 14.0°, rel. 2, hkl 1 1 0
- 18.2°, rel. 2, hkl 0 2 1
- 24.7°, rel. 66, hkl 0 0 2
- 40.9°, rel. 100, hkl 1 3 -3
- 48.3°, rel. 31, hkl 2 0 -4
- 59.2°, rel. 16, hkl 4 0 -4
- 65.1°, rel. 13, hkl 1 3 -5
- 74.4°, rel. 32, hkl 2 0 -6
- 79.8°, rel. 8, hkl 4 0 -6
- 88.6°, rel. 10, hkl 2 6 -6

Atomic structure:
```
data_MgNb2Sb3Ir3
_chemical_formula_sum 'Mg4 Nb8 Sb12 Ir12'
_symmetry_space_group_name_H-M 'C 1 c 1'
_symmetry_Int_Tables_number 9
_symmetry_space_group_name_Hall 'C -2yc'
_cell_length_a 7.651
_cell_length_b 13.242
_cell_length_c 7.648
_cell_angle_alpha 90.00
_cell_angle_beta 109.53
_cell_angle_gamma 90.00
loop_
_atom_site_label
_atom_site_type_symbol
_atom_site_fract_x
_atom_site_fract_y
_atom_site_fract_z
Mg1 Mg 0.000 0.085 0.000
Nb1 Nb 0.497 0.083 0.496
Nb2 Nb 0.498 0.249 0.996
Sb1 Sb 0.236 0.080 0.752
Sb2 Sb 0.250 0.253 0.243
Sb3 Sb 0.258 0.422 0.744
Ir1 Ir 0.106 0.417 0.365
Ir2 Ir 0.128 0.258 0.864
Ir3 Ir 0.135 0.092 0.384
```